No. 1
Diffraction record for Ga2Re4N. The X-ray powder pattern is computed, not measured: it uses the PBE geometry in OQMD and Cu Ka.
Peak positions follow from Bragg's law for the DFT cell and can differ from measured ones.

Most intense lines, 10° ≤ 2θ ≤ 90°, low angle first:
29.33 deg, intensity 27
30.76 deg, intensity 57
43.02 deg, intensity 100
44.06 deg, intensity 52
53.81 deg, intensity 21
64.07 deg, intensity 17
78.12 deg, intensity 12
80.30 deg, intensity 32

Structural model:
Unit cell a=4.1108 b=4.1108 c=6.0902 alpha=90.00 beta=90.00 gamma=90.00
Sites, in units of the cell vectors:
Ga1 0.0000 0.0000 0.0000
Ga2 0.5000 0.5000 0.5000
Re1 0.0000 0.5000 0.2213
Re2 0.0000 0.5000 0.7787
Re3 0.5000 0.0000 0.2213
Re4 0.5000 0.0000 0.7787
N1 0.5000 0.5000 0.0000

=====

No. 2
Diffraction record for Ta4GaSN2. The X-ray powder pattern is computed, not measured: it uses the PBE geometry in OQMD and Cu Ka.
Peak positions follow from Bragg's law for the DFT cell and can differ from measured ones.

Most intense lines, 10° ≤ 2θ ≤ 90°, low angle first:
26.55 deg, intensity 19
34.06 deg, intensity 26
34.73 deg, intensity 25
39.73 deg, intensity 100
40.30 deg, intensity 12
43.70 deg, intensity 12
60.97 deg, intensity 23
75.26 deg, intensity 15

Structural model:
Unit cell a=3.0393 b=3.0393 c=13.4272 alpha=90.00 beta=90.00 gamma=120.00
Sites, in units of the cell vectors:
Ta1 0.0000 0.0000 0.1355
Ta2 0.0000 0.0000 0.8645
Ta3 0.3333 0.6667 0.3371
Ta4 0.3333 0.6667 0.6629
Ga1 0.0000 0.0000 0.5000
S1 0.3333 0.6667 0.0000
N1 0.6667 0.3333 0.2380
N2 0.6667 0.3333 0.7620

=====

No. 3
Diffraction record for Ta4GaSnN2. The X-ray powder pattern is computed, not measured: it uses the PBE geometry in OQMD and Cu Ka.
Peak positions follow from Bragg's law for the DFT cell and can differ from measured ones.

Most intense lines, 10° ≤ 2θ ≤ 90°, low angle first:
34.00 deg, intensity 22
37.23 deg, intensity 21
38.91 deg, intensity 100
51.29 deg, intensity 15
60.84 deg, intensity 20
68.25 deg, intensity 14
73.53 deg, intensity 18
74.61 deg, intensity 15

Structural model:
Unit cell a=3.0449 b=3.0449 c=14.4922 alpha=90.00 beta=90.00 gamma=120.00
Sites, in units of the cell vectors:
Ta1 0.0000 0.0000 0.1504
Ta2 0.0000 0.0000 0.8496
Ta3 0.6667 0.3333 0.3346
Ta4 0.6667 0.3333 0.6654
Ga1 0.6667 0.3333 0.0000
Sn1 0.0000 0.0000 0.5000
N1 0.3333 0.6667 0.2422
N2 0.3333 0.6667 0.7578

=====

No. 4
Diffraction record for Ta4GaN3. The X-ray powder pattern is computed, not measured: it uses the PBE geometry in OQMD and Cu Ka.
Peak positions follow from Bragg's law for the DFT cell and can differ from measured ones.

Most intense lines, 10° ≤ 2θ ≤ 90°, low angle first:
34.57 deg, intensity 43
35.58 deg, intensity 19
36.97 deg, intensity 91
38.64 deg, intensity 74
40.63 deg, intensity 100
57.22 deg, intensity 30
60.37 deg, intensity 48
72.96 deg, intensity 45

Structural model:
Unit cell a=3.0663 b=3.0663 c=24.2953 alpha=90.00 beta=90.00 gamma=120.00
Sites, in units of the cell vectors:
Ta1 0.0000 0.0000 0.1605
Ta2 0.0000 0.0000 0.3395
Ta3 0.0000 0.0000 0.6605
Ta4 0.0000 0.0000 0.8395
Ta5 0.3333 0.6667 0.0516
Ta6 0.3333 0.6667 0.4484
Ta7 0.6667 0.3333 0.5516
Ta8 0.6667 0.3333 0.9484
Ga1 0.3333 0.6667 0.2500
Ga2 0.6667 0.3333 0.7500
N1 0.0000 0.0000 0.0000
N2 0.0000 0.0000 0.5000
N3 0.3333 0.6667 0.6064
N4 0.3333 0.6667 0.8936
N5 0.6667 0.3333 0.1064
N6 0.6667 0.3333 0.3936